Record 1
Theoretical X-ray diffraction stick pattern
Compound: AcTh2Te6
Radiation: Cu Kα X-rays
Structure: a structure optimized by DFT (GGA-PBE)
Peak positions follow from Bragg's law for the DFT cell and can differ from measured ones.

Lattice parameters (Å, degrees): 12.7537 12.7537 12.7537 153.85 153.85 37.32
Sites, in units of the cell vectors:
1 Ac 0.0000 0.0000 0.0000
2 Th 0.3115 0.3115 0.0000
3 Th 0.6885 0.6885 0.0000
4 Te 0.1670 0.6419 0.0000
5 Te 0.2500 0.7500 0.5000
6 Te 0.3581 0.3581 0.5251
7 Te 0.6419 0.1670 0.0000
8 Te 0.7500 0.2500 0.5000
9 Te 0.8330 0.8330 0.4749

Peak list (10 most intense, 2θ = 10–90°, sorted by position)
- 4.691 Å, rel. 100
- 3.866 Å, rel. 38
- 2.867 Å, rel. 47
- 2.604 Å, rel. 40
- 2.458 Å, rel. 38
- 2.428 Å, rel. 22
- 2.346 Å, rel. 22
- 2.079 Å, rel. 20
- 2.040 Å, rel. 27
- 1.662 Å, rel. 19

=====

Record 2
Theoretical X-ray diffraction stick pattern
Compound: AcTh4Te8
Radiation: Cu Kα X-rays
Structure: a structure optimized by DFT (GGA-PBE)
Peak positions follow from Bragg's law for the DFT cell and can differ from measured ones.

Lattice parameters (Å, degrees): 9.1027 9.1027 9.1027 60.00 60.00 60.00
Sites, in units of the cell vectors:
1 Ac 0.0000 0.0000 0.0000
2 Th 0.1725 0.6092 0.6092
3 Th 0.6092 0.1725 0.6092
4 Th 0.6092 0.6092 0.1725
5 Th 0.6092 0.6092 0.6092
6 Te 0.3668 0.3668 0.3668
7 Te 0.3668 0.3668 0.8996
8 Te 0.3668 0.8996 0.3668
9 Te 0.4243 0.8586 0.8586
10 Te 0.8586 0.4243 0.8586
11 Te 0.8586 0.8586 0.4243
12 Te 0.8586 0.8586 0.8586
13 Te 0.8996 0.3668 0.3668

Peak list (10 most intense, 2θ = 10–90°, sorted by position)
- 7.432 Å, rel. 38
- 3.881 Å, rel. 72
- 3.218 Å, rel. 88
- 2.628 Å, rel. 36
- 2.477 Å, rel. 57
- 2.276 Å, rel. 100
- 1.720 Å, rel. 21
- 1.676 Å, rel. 21
- 1.517 Å, rel. 27
- 1.314 Å, rel. 22

=====

Record 3
Theoretical X-ray diffraction stick pattern
Compound: Ac3TlTe2
Radiation: Cu Kα X-rays
Structure: a structure optimized by DFT (GGA-PBE)
Peak positions follow from Bragg's law for the DFT cell and can differ from measured ones.

Lattice parameters (Å, degrees): 6.7462 14.3427 9.5429 90.00 90.08 90.00
Sites, in units of the cell vectors:
1 Ac 0.2495 0.0818 0.3717
2 Ac 0.2495 0.4182 0.8717
3 Ac 0.2496 0.0816 0.8783
4 Ac 0.2496 0.4184 0.3783
5 Ac 0.2509 0.7492 0.3762
6 Ac 0.2509 0.7508 0.8762
7 Ac 0.7491 0.2492 0.1238
8 Ac 0.7491 0.2508 0.6238
9 Ac 0.7504 0.5816 0.6217
10 Ac 0.7504 0.9184 0.1217
11 Ac 0.7505 0.5818 0.1283
12 Ac 0.7505 0.9182 0.6283
13 Tl 0.2505 0.5864 0.6293
14 Tl 0.2505 0.9136 0.1293
15 Tl 0.7495 0.0864 0.8707
16 Tl 0.7495 0.4136 0.3707
17 Te 0.2490 0.2476 0.6256
18 Te 0.2490 0.2524 0.1256
19 Te 0.2506 0.5831 0.1231
20 Te 0.2506 0.9169 0.6231
21 Te 0.7494 0.0831 0.3769
22 Te 0.7494 0.4169 0.8769
23 Te 0.7510 0.7476 0.8744
24 Te 0.7510 0.7524 0.3744

Peak list (10 most intense, 2θ = 10–90°, sorted by position)
- 3.376 Å, rel. 100
- 2.387 Å, rel. 79
- 1.949 Å, rel. 29
- 1.688 Å, rel. 14
- 1.511 Å, rel. 13
- 1.509 Å, rel. 26
- 1.379 Å, rel. 21
- 1.377 Å, rel. 7
- 1.193 Å, rel. 8
- 1.125 Å, rel. 9

=====

Record 4
Theoretical X-ray diffraction stick pattern
Compound: Ac2TlTe4
Radiation: Cu Kα X-rays
Structure: a structure optimized by DFT (GGA-PBE)
Peak positions follow from Bragg's law for the DFT cell and can differ from measured ones.

Lattice parameters (Å, degrees): 7.6833 7.6517 9.2239 90.00 106.39 90.00
Sites, in units of the cell vectors:
1 Ac 0.1962 0.2500 0.0405
2 Ac 0.2529 0.2500 0.5661
3 Ac 0.7471 0.7500 0.4339
4 Ac 0.8038 0.7500 0.9595
5 Tl 0.2836 0.7500 0.3253
6 Tl 0.7164 0.2500 0.6747
7 Te 0.0134 0.5134 0.7394
8 Te 0.0134 0.9866 0.7394
9 Te 0.4283 0.7500 0.0597
10 Te 0.4536 0.7500 0.6615
11 Te 0.5464 0.2500 0.3385
12 Te 0.5717 0.2500 0.9403
13 Te 0.9866 0.0134 0.2606
14 Te 0.9866 0.4866 0.2606

Peak list (10 most intense, 2θ = 10–90°, sorted by position)
- 3.827 Å, rel. 100
- 3.396 Å, rel. 83
- 3.325 Å, rel. 62
- 3.103 Å, rel. 86
- 3.055 Å, rel. 96
- 2.894 Å, rel. 48
- 2.879 Å, rel. 79
- 2.654 Å, rel. 61
- 2.306 Å, rel. 47
- 1.913 Å, rel. 44

=====

Record 5
Theoretical X-ray diffraction stick pattern
Compound: Ac4TlTe3
Radiation: Cu Kα X-rays
Structure: a structure optimized by DFT (GGA-PBE)
Peak positions follow from Bragg's law for the DFT cell and can differ from measured ones.

Lattice parameters (Å, degrees): 8.2682 8.2682 8.2682 131.90 131.90 70.39
Sites, in units of the cell vectors:
1 Ac 0.0000 0.5000 0.5000
2 Ac 0.2471 0.2471 0.0000
3 Ac 0.5000 0.0000 0.5000
4 Ac 0.7529 0.7529 0.0000
5 Tl 0.0000 0.0000 0.0000
6 Te 0.2500 0.7500 0.5000
7 Te 0.5000 0.5000 0.0000
8 Te 0.7500 0.2500 0.5000

Peak list (10 most intense, 2θ = 10–90°, sorted by position)
- 3.894 Å, rel. 8
- 3.372 Å, rel. 100
- 2.385 Å, rel. 79
- 1.947 Å, rel. 29
- 1.685 Å, rel. 9
- 1.510 Å, rel. 13
- 1.507 Å, rel. 26
- 1.378 Å, rel. 10
- 1.376 Å, rel. 19
- 1.124 Å, rel. 16

=====

Record 6
Theoretical X-ray diffraction stick pattern
Compound: Ac6Tl5Te
Radiation: Cu Kα X-rays
Structure: a structure optimized by DFT (GGA-PBE)
Peak positions follow from Bragg's law for the DFT cell and can differ from measured ones.

Lattice parameters (Å, degrees): 5.6528 8.7424 8.9681 89.99 71.77 89.91
Sites, in units of the cell vectors:
1 Ac 0.0005 0.2468 0.9999
2 Ac 0.3372 0.7482 0.3253
3 Ac 0.3380 0.2519 0.3252
4 Ac 0.6620 0.7481 0.6748
5 Ac 0.6628 0.2518 0.6747
6 Ac 0.9995 0.7532 0.0001
7 Tl 0.1670 0.5000 0.6664
8 Tl 0.1762 0.0001 0.6460
9 Tl 0.5000 0.5000 0.0000
10 Tl 0.8238 0.9999 0.3540
11 Tl 0.8330 0.5000 0.3336
12 Te 0.5000 0.0000 0.0000

Peak list (10 most intense, 2θ = 10–90°, sorted by position)
- 2.953 Å, rel. 100
- 2.839 Å, rel. 22
- 2.826 Å, rel. 22
- 2.186 Å, rel. 11
- 2.006 Å, rel. 8
- 1.731 Å, rel. 16
- 1.661 Å, rel. 9
- 1.659 Å, rel. 14
- 1.655 Å, rel. 14
- 1.369 Å, rel. 10

=====

Record 7
Theoretical X-ray diffraction stick pattern
Compound: Ac3TlTe
Radiation: Cu Kα X-rays
Structure: a structure optimized by DFT (GGA-PBE)
Peak positions follow from Bragg's law for the DFT cell and can differ from measured ones.

Lattice parameters (Å, degrees): 9.2234 4.7773 18.0508 90.00 90.00 90.00
Sites, in units of the cell vectors:
1 Ac 0.0140 0.2500 0.1109
2 Ac 0.1316 0.2500 0.5588
3 Ac 0.1832 0.7500 0.2724
4 Ac 0.3168 0.2500 0.7724
5 Ac 0.3684 0.7500 0.0588
6 Ac 0.4860 0.7500 0.6109
7 Ac 0.5140 0.2500 0.3891
8 Ac 0.6316 0.2500 0.9412
9 Ac 0.6832 0.7500 0.2276
10 Ac 0.8168 0.2500 0.7276
11 Ac 0.8684 0.7500 0.4412
12 Ac 0.9860 0.7500 0.8891
13 Tl 0.0912 0.7500 0.6969
14 Tl 0.4088 0.2500 0.1969
15 Tl 0.5912 0.7500 0.8031
16 Tl 0.9088 0.2500 0.3031
17 Te 0.2155 0.2500 0.9532
18 Te 0.2845 0.7500 0.4532
19 Te 0.7155 0.2500 0.5468
20 Te 0.7845 0.7500 0.0468

Peak list (10 most intense, 2θ = 10–90°, sorted by position)
- 3.839 Å, rel. 32
- 3.362 Å, rel. 35
- 3.263 Å, rel. 69
- 3.225 Å, rel. 26
- 3.114 Å, rel. 100
- 3.091 Å, rel. 37
- 2.880 Å, rel. 55
- 2.389 Å, rel. 45
- 2.152 Å, rel. 24
- 1.962 Å, rel. 32

=====

Record 8
Theoretical X-ray diffraction stick pattern
Compound: AcTlTe4
Radiation: Cu Kα X-rays
Structure: a structure optimized by DFT (GGA-PBE)
Peak positions follow from Bragg's law for the DFT cell and can differ from measured ones.

Lattice parameters (Å, degrees): 7.0972 7.0972 8.9646 90.00 90.00 90.00
Sites, in units of the cell vectors:
1 Ac 0.2500 0.2500 0.0000
2 Ac 0.7500 0.7500 0.0000
3 Tl 0.2500 0.2500 0.5000
4 Tl 0.7500 0.7500 0.5000
5 Te 0.1093 0.6093 0.2307
6 Te 0.1093 0.8907 0.7693
7 Te 0.3907 0.6093 0.7693
8 Te 0.3907 0.8907 0.2307
9 Te 0.6093 0.1093 0.7693
10 Te 0.6093 0.3907 0.2307
11 Te 0.8907 0.1093 0.2307
12 Te 0.8907 0.3907 0.7693

Peak list (10 most intense, 2θ = 10–90°, sorted by position)
- 5.019 Å, rel. 16
- 3.549 Å, rel. 16
- 3.343 Å, rel. 100
- 2.992 Å, rel. 57
- 2.782 Å, rel. 43
- 2.243 Å, rel. 60
- 2.176 Å, rel. 21
- 1.650 Å, rel. 26
- 1.586 Å, rel. 35
- 1.567 Å, rel. 19

=====

Record 9
Theoretical X-ray diffraction stick pattern
Compound: Ac3UTl3Te8
Radiation: Cu Kα X-rays
Structure: a structure optimized by DFT (GGA-PBE)
Peak positions follow from Bragg's law for the DFT cell and can differ from measured ones.

Lattice parameters (Å, degrees): 9.4748 9.4748 9.8432 118.68 118.68 60.11
Sites, in units of the cell vectors:
1 Ac 0.0000 0.0000 0.0000
2 Ac 0.0000 0.5000 0.0000
3 Ac 0.5000 0.0000 0.0000
4 U 0.5000 0.5000 0.0000
5 Tl 0.0000 0.5000 0.5000
6 Tl 0.5000 0.0000 0.5000
7 Tl 0.5000 0.5000 0.5000
8 Te 0.2434 0.2434 0.2301
9 Te 0.2615 0.7272 0.2158
10 Te 0.2728 0.2728 0.7841
11 Te 0.2728 0.7385 0.7842
12 Te 0.7272 0.2615 0.2158
13 Te 0.7272 0.7272 0.2159
14 Te 0.7385 0.2728 0.7842
15 Te 0.7566 0.7566 0.7699

Peak list (10 most intense, 2θ = 10–90°, sorted by position)
- 8.192 Å, rel. 9
- 7.787 Å, rel. 9
- 3.413 Å, rel. 100
- 2.459 Å, rel. 39
- 2.370 Å, rel. 38
- 1.947 Å, rel. 20
- 1.707 Å, rel. 13
- 1.550 Å, rel. 11
- 1.504 Å, rel. 17
- 1.386 Å, rel. 8

=====

Record 10
Theoretical X-ray diffraction stick pattern
Compound: Ac4TmTe7
Radiation: Cu Kα X-rays
Structure: a structure optimized by DFT (GGA-PBE)
Peak positions follow from Bragg's law for the DFT cell and can differ from measured ones.

Lattice parameters (Å, degrees): 8.0188 8.0188 13.4777 104.22 104.22 33.03
Sites, in units of the cell vectors:
1 Ac 0.0000 0.0000 0.0000
2 Ac 0.0984 0.0984 0.4526
3 Ac 0.3051 0.3051 0.2205
4 Ac 0.7019 0.7019 0.8228
5 Tm 0.8712 0.8712 0.5809
6 Te 0.0338 0.0338 0.7667
7 Te 0.2713 0.2713 0.6643
8 Te 0.3386 0.3386 0.9678
9 Te 0.4529 0.4529 0.4849
10 Te 0.6619 0.6619 0.0654
11 Te 0.7265 0.7265 0.3742
12 Te 0.9623 0.9623 0.2262

Peak list (10 most intense, 2θ = 10–90°, sorted by position)
- 4.370 Å, rel. 86
- 4.254 Å, rel. 62
- 3.393 Å, rel. 97
- 3.355 Å, rel. 92
- 3.218 Å, rel. 100
- 3.121 Å, rel. 71
- 2.910 Å, rel. 66
- 2.520 Å, rel. 83
- 2.327 Å, rel. 42
- 2.280 Å, rel. 78

=====

Record 11
Theoretical X-ray diffraction stick pattern
Compound: AcTm3Te6
Radiation: Cu Kα X-rays
Structure: a structure optimized by DFT (GGA-PBE)
Peak positions follow from Bragg's law for the DFT cell and can differ from measured ones.

Lattice parameters (Å, degrees): 12.5344 4.4440 12.8619 90.00 109.29 90.00
Sites, in units of the cell vectors:
1 Ac 0.0515 0.2500 0.1999
2 Ac 0.9485 0.7500 0.8001
3 Tm 0.1572 0.2500 0.5869
4 Tm 0.3211 0.7500 0.9996
5 Tm 0.4447 0.2500 0.3367
6 Tm 0.5553 0.7500 0.6633
7 Tm 0.6789 0.2500 0.0004
8 Tm 0.8428 0.7500 0.4131
9 Te 0.0853 0.7500 0.4117
10 Te 0.1260 0.2500 0.9678
11 Te 0.2020 0.7500 0.7494
12 Te 0.2719 0.7500 0.2286
13 Te 0.3885 0.2500 0.5550
14 Te 0.4821 0.2500 0.1149
15 Te 0.5179 0.7500 0.8851
16 Te 0.6115 0.7500 0.4450
17 Te 0.7281 0.2500 0.7714
18 Te 0.7980 0.2500 0.2506
19 Te 0.8740 0.7500 0.0322
20 Te 0.9147 0.2500 0.5883

Peak list (10 most intense, 2θ = 10–90°, sorted by position)
- 4.176 Å, rel. 45
- 3.241 Å, rel. 100
- 3.157 Å, rel. 52
- 3.088 Å, rel. 40
- 2.992 Å, rel. 33
- 2.950 Å, rel. 67
- 2.746 Å, rel. 30
- 2.420 Å, rel. 62
- 2.326 Å, rel. 36
- 2.222 Å, rel. 87

=====

Record 12
Theoretical X-ray diffraction stick pattern
Compound: AcY3Te4
Radiation: Cu Kα X-rays
Structure: a structure optimized by DFT (GGA-PBE)
Peak positions follow from Bragg's law for the DFT cell and can differ from measured ones.

Lattice parameters (Å, degrees): 4.3780 4.3780 30.2411 90.00 90.00 120.00
Sites, in units of the cell vectors:
1 Ac 0.3333 0.6667 0.2500
2 Ac 0.6667 0.3333 0.7500
3 Y 0.0000 0.0000 0.0000
4 Y 0.0000 0.0000 0.5000
5 Y 0.3333 0.6667 0.6176
6 Y 0.3333 0.6667 0.8824
7 Y 0.6667 0.3333 0.1176
8 Y 0.6667 0.3333 0.3824
9 Te 0.0000 0.0000 0.1766
10 Te 0.0000 0.0000 0.3234
11 Te 0.0000 0.0000 0.6766
12 Te 0.0000 0.0000 0.8234
13 Te 0.3333 0.6667 0.0589
14 Te 0.3333 0.6667 0.4411
15 Te 0.6667 0.3333 0.5589
16 Te 0.6667 0.3333 0.9411

Peak list (10 most intense, 2θ = 10–90°, sorted by position)
- 3.762 Å, rel. 15
- 3.212 Å, rel. 92
- 3.030 Å, rel. 100
- 2.226 Å, rel. 38
- 2.189 Å, rel. 67
- 1.809 Å, rel. 18
- 1.774 Å, rel. 24
- 1.431 Å, rel. 22
- 1.394 Å, rel. 15
- 1.378 Å, rel. 17